Structure and computed powder diffractogram of KPPdSe4 (a structure optimized by DFT (PBE); Cu Kα (λ = 1.5418 Å)).
No peak broadening, texture or thermal motion is included.

Most intense lines, 2θ from 5° to 70°, in order of falling intensity:
| 2θ (°) | d_spacing | I_rel |
| --- | --- | --- |
| 15.14 | 5.854 | 1000 |
| 24.98 | 3.564 | 613 |
| 31.61 | 2.831 | 577 |
| 44.19 | 2.050 | 376 |
| 34.80 | 2.578 | 318 |
| 52.20 | 1.752 | 314 |
| 20.29 | 4.376 | 197 |
| 36.95 | 2.433 | 187 |
| 54.69 | 1.678 | 184 |
| 46.54 | 1.951 | 145 |

Lattice parameters (Å, degrees): 8.278 8.278 13.178 90.00 90.00 90.00
Space group I4/mcm (No. 140)
One atom of each set of equivalent atoms:
K 0.000 0.000 0.250
P 0.000 0.500 0.250
Pd 0.000 0.500 0.000
Se 0.143 0.357 0.138



Structure and computed powder diffractogram of AgSe (a structure optimized by DFT (PBE); Cu Kα (λ = 1.5418 Å)).
No peak broadening, texture or thermal motion is included.

Most intense lines, 2θ from 5° to 70°, in order of falling intensity:
| 2θ (°) | d_spacing | I_rel |
| --- | --- | --- |
| 30.38 | 2.942 | 1000 |
| 27.77 | 3.212 | 997 |
| 37.23 | 2.415 | 835 |
| 47.08 | 1.930 | 722 |
| 27.33 | 3.263 | 671 |
| 27.66 | 3.225 | 611 |
| 43.36 | 2.087 | 501 |
| 30.08 | 2.971 | 400 |
| 46.73 | 1.944 | 398 |
| 49.79 | 1.831 | 359 |

Lattice parameters (Å, degrees): 7.183 7.183 7.325 90.00 90.00 90.00
Space group P4_2/m (No. 84)
One atom of each set of equivalent atoms:
Ag 0.000 0.000 0.250
Ag 0.000 0.500 0.000
Ag 0.244 0.541 0.500
Se 0.189 0.312 0.233



Structure and computed powder diffractogram of Tb2Cl3 (a structure optimized by DFT (PBE); Cu Kα (λ = 1.5418 Å)).
No peak broadening, texture or thermal motion is included.

Most intense lines, 2θ from 5° to 70°, in order of falling intensity:
| 2θ (°) | d_spacing | I_rel |
| --- | --- | --- |
| 11.73 | 7.542 | 1000 |
| 27.17 | 3.282 | 942 |
| 9.82 | 9.012 | 530 |
| 29.02 | 3.077 | 507 |
| 33.26 | 2.693 | 495 |
| 37.00 | 2.429 | 416 |
| 35.50 | 2.529 | 367 |
| 35.18 | 2.551 | 325 |
| 45.66 | 1.987 | 284 |
| 39.35 | 2.290 | 275 |

Lattice parameters (Å, degrees): 15.759 3.859 10.382 90.00 119.77 90.00
Space group C2/m (No. 12)
One atom of each set of equivalent atoms:
Tb 0.085 0.000 0.452
Tb 0.139 0.500 0.791
Cl 0.042 0.500 0.239
Cl 0.161 0.000 0.007
Cl 0.225 0.500 0.619



- Number 3 is which compound?
  Tb2Cl3